Structure and simulated PXRD pattern of PrY8Ho6 (a GGA-PBE-relaxed structure; CuKα).
Intensities are scaled so that the largest is 100.

Top 12 peaks for 2θ from 15° to 90°, in order of rising 2θ:
d [Å]  Rel. int.
3.782  8.2
3.122  7.3
2.931  24.7
2.846  100.0
2.764  29.0
2.741  10.7
2.570  14.7
2.442  13.2
1.725  12.4
1.710  9.0
1.659  12.8
1.536  8.8

Crystal structure
abc: 8.648 8.648 8.648
angles: 63.08 63.08 63.08
Fractional positions:
1 Pr 0.000 0.000 0.000
2 Y 0.110 0.745 0.719
3 Y 0.255 0.281 0.890
4 Y 0.281 0.890 0.255
5 Y 0.423 0.423 0.423
6 Y 0.577 0.577 0.577
7 Y 0.719 0.110 0.745
8 Y 0.745 0.719 0.110
9 Y 0.890 0.255 0.281
10 Ho 0.109 0.232 0.538
11 Ho 0.232 0.538 0.109
12 Ho 0.462 0.891 0.768
13 Ho 0.538 0.109 0.232
14 Ho 0.768 0.462 0.891
15 Ho 0.891 0.768 0.462

---

Structure and simulated PXRD pattern of Pr3YHo7 (a GGA-PBE-relaxed structure; CuKα).
Intensities are scaled so that the largest is 100.

Top 12 peaks for 2θ from 15° to 90°, in order of rising 2θ:
d [Å]  Rel. int.
3.285  13.2
2.851  76.2
2.840  22.5
2.811  88.7
2.798  25.1
2.781  100.0
2.758  41.0
2.738  17.1
2.720  45.2
2.591  21.8
1.604  14.3
1.601  12.0

Crystal structure
abc: 6.529 6.715 8.630
angles: 99.34 98.63 95.20
Fractional positions:
1 Pr 0.000 0.000 0.000
2 Pr 0.198 0.562 0.164
3 Pr 0.802 0.438 0.836
4 Y 0.500 0.000 0.500
5 Ho 0.012 0.767 0.580
6 Ho 0.279 0.276 0.786
7 Ho 0.437 0.791 0.855
8 Ho 0.500 0.500 0.500
9 Ho 0.563 0.209 0.145
10 Ho 0.721 0.724 0.214
11 Ho 0.988 0.233 0.420

---

Structure and simulated PXRD pattern of Pr5Y2Ho4 (a GGA-PBE-relaxed structure; CuKα).
Intensities are scaled so that the largest is 100.

Top 12 peaks for 2θ from 15° to 90°, in order of rising 2θ:
d [Å]  Rel. int.
3.061  14.0
2.964  44.0
2.911  55.5
2.853  100.0
2.633  13.8
2.610  85.6
2.332  17.1
1.803  15.4
1.761  13.3
1.728  16.9
1.568  18.5
1.533  16.2

Crystal structure
abc: 9.267 9.267 11.903
angles: 101.71 101.71 22.44
Fractional positions:
1 Pr 0.000 0.000 0.000
2 Pr 0.334 0.334 0.998
3 Pr 0.351 0.351 0.489
4 Pr 0.649 0.649 0.511
5 Pr 0.666 0.666 0.002
6 Y 0.149 0.149 0.256
7 Y 0.851 0.851 0.744
8 Ho 0.188 0.188 0.763
9 Ho 0.482 0.482 0.273
10 Ho 0.518 0.518 0.727
11 Ho 0.812 0.812 0.237

---

Structure and simulated PXRD pattern of Pr2Y3Ho9 (a GGA-PBE-relaxed structure; CuKα).
Intensities are scaled so that the largest is 100.

Top 12 peaks for 2θ from 15° to 90°, in order of rising 2θ:
d [Å]  Rel. int.
2.964  34.1
2.845  86.3
2.816  45.9
2.767  100.0
2.736  17.4
2.697  21.9
2.104  11.8
1.931  15.0
1.709  11.6
1.618  11.0
1.600  11.6
1.465  13.3

Crystal structure
abc: 6.416 8.423 8.901
angles: 87.68 83.36 71.09
Fractional positions:
1 Pr 0.000 0.000 0.000
2 Pr 0.152 0.646 0.195
3 Y 0.346 0.100 0.745
4 Y 0.525 0.303 0.029
5 Y 0.676 0.614 0.404
6 Ho 0.066 0.263 0.246
7 Ho 0.195 0.913 0.447
8 Ho 0.223 0.450 0.533
9 Ho 0.396 0.663 0.781
10 Ho 0.546 0.860 0.073
11 Ho 0.637 0.070 0.370
12 Ho 0.801 0.258 0.651
13 Ho 0.837 0.825 0.694
14 Ho 0.956 0.477 0.910

---

Structure and simulated PXRD pattern of PrY5Ho2 (a GGA-PBE-relaxed structure; CuKα).
Intensities are scaled so that the largest is 100.

Top 12 peaks for 2θ from 15° to 90°, in order of rising 2θ:
d [Å]  Rel. int.
3.847  26.1
3.074  90.1
2.924  51.6
2.892  52.3
2.830  46.9
2.801  36.7
2.782  100.0
2.767  88.1
2.511  24.3
2.492  21.6
2.319  23.1
2.040  33.8

Crystal structure
abc: 5.793 11.260 8.539
angles: 90.00 106.46 90.00
Fractional positions:
1 Pr 0.003 0.250 0.154
2 Pr 0.997 0.750 0.846
3 Y 0.164 0.577 0.209
4 Y 0.164 0.923 0.209
5 Y 0.271 0.250 0.583
6 Y 0.302 0.577 0.621
7 Y 0.302 0.923 0.621
8 Y 0.698 0.077 0.379
9 Y 0.698 0.423 0.379
10 Y 0.729 0.750 0.417
11 Y 0.836 0.077 0.791
12 Y 0.836 0.423 0.791
13 Ho 0.391 0.117 0.964
14 Ho 0.391 0.383 0.964
15 Ho 0.609 0.617 0.036
16 Ho 0.609 0.883 0.036

---

Structure and simulated PXRD pattern of Pr3Y8Ho3 (a GGA-PBE-relaxed structure; CuKα).
Intensities are scaled so that the largest is 100.

Top 12 peaks for 2θ from 15° to 90°, in order of rising 2θ:
d [Å]  Rel. int.
3.822  11.2
3.100  22.3
3.043  21.7
2.929  26.9
2.846  46.1
2.817  100.0
2.694  43.0
2.042  24.8
1.790  14.5
1.637  19.5
1.617  12.7
1.515  11.4

Crystal structure
abc: 9.766 9.766 9.766
angles: 146.12 113.29 76.97
Fractional positions:
1 Pr 0.000 0.000 0.000
2 Pr 0.309 0.000 0.309
3 Pr 0.691 0.000 0.691
4 Y 0.058 0.397 0.661
5 Y 0.062 0.222 0.841
6 Y 0.264 0.603 0.661
7 Y 0.381 0.222 0.159
8 Y 0.619 0.778 0.841
9 Y 0.736 0.397 0.339
10 Y 0.938 0.778 0.159
11 Y 0.942 0.603 0.339
12 Ho 0.312 0.812 0.500
13 Ho 0.500 0.500 0.000
14 Ho 0.688 0.188 0.500

---

Structure and simulated PXRD pattern of Pr3Y4Ho5 (a GGA-PBE-relaxed structure; CuKα).
Intensities are scaled so that the largest is 100.

Top 12 peaks for 2θ from 15° to 90°, in order of rising 2θ:
d [Å]  Rel. int.
2.932  33.8
2.929  100.0
2.545  45.3
2.522  22.0
1.799  16.0
1.792  23.7
1.789  7.9
1.535  19.0
1.532  18.9
1.523  18.5
1.465  12.2
1.163  7.7

Crystal structure
abc: 6.195 7.193 9.474
angles: 101.02 108.58 90.10
Fractional positions:
1 Pr 0.000 0.000 0.000
2 Pr 0.498 0.582 0.331
3 Pr 0.502 0.418 0.669
4 Y 0.000 0.167 0.666
5 Y 0.000 0.833 0.334
6 Y 0.500 0.083 0.332
7 Y 0.500 0.917 0.668
8 Ho 0.000 0.334 0.333
9 Ho 0.000 0.500 0.000
10 Ho 0.000 0.666 0.667
11 Ho 0.498 0.750 0.999
12 Ho 0.502 0.250 0.001

---

Structure and simulated PXRD pattern of Pr5Y2Ho2 (a GGA-PBE-relaxed structure; CuKα).
Intensities are scaled so that the largest is 100.

Top 12 peaks for 2θ from 15° to 90°, in order of rising 2θ:
d [Å]  Rel. int.
2.975  100.0
2.576  50.6
1.824  6.1
1.822  24.0
1.818  6.0
1.555  14.3
1.553  21.4
1.551  7.1
1.489  6.2
1.486  6.1
1.183  8.7
1.152  8.1

Crystal structure
abc: 6.315 6.315 10.910
angles: 106.69 106.69 48.19
Fractional positions:
1 Pr 0.000 0.000 0.000
2 Pr 0.333 0.333 0.445
3 Pr 0.334 0.334 0.112
4 Pr 0.666 0.666 0.888
5 Pr 0.667 0.667 0.555
6 Y 0.001 0.001 0.333
7 Y 0.999 0.999 0.667
8 Ho 0.332 0.332 0.776
9 Ho 0.668 0.668 0.224